(1)
Diffraction record for KNiIr. The X-ray powder pattern is computed, not measured: it uses a PBE-relaxed structure and λ = 1.5418 Å (Cu Kα).
Kinematic intensities with the Lorentz-polarization factor, no thermal factor.

Main lines, by angle (2θ = 5–70°):
| 2θ/deg | Rel. int. |
| --- | --- |
| 15.3 | 100 |
| 23.3 | 26 |
| 30.9 | 30 |
| 32.1 | 30 |
| 34.9 | 10 |
| 40.8 | 37 |
| 41.4 | 15 |
| 43.9 | 30 |
| 44.9 | 14 |
| 47.7 | 12 |
| 52.1 | 27 |
| 55.4 | 11 |

Structure:
a = 6.278 Å, b = 6.278 Å, c = 6.278 Å
α = 155.73°, β = 142.45°, γ = 45.21°
Fractional positions:
K: 0.000 0.000 0.000
Ni: 0.271 0.271 0.000
Ir: 0.722 0.722 0.000

---

(2)
Diffraction record for KNiIrSe3. The X-ray powder pattern is computed, not measured: it uses a PBE-relaxed structure and λ = 1.5418 Å (Cu Kα).
Kinematic intensities with the Lorentz-polarization factor, no thermal factor.

Main lines, by angle (2θ = 5–70°):
| 2θ/deg | Rel. int. |
| --- | --- |
| 10.2 | 10 |
| 11.9 | 100 |
| 30.9 | 12 |
| 31.7 | 33 |
| 33.0 | 15 |
| 36.9 | 10 |
| 40.1 | 9 |
| 40.5 | 8 |
| 45.6 | 15 |
| 47.5 | 10 |
| 53.9 | 9 |
| 56.1 | 8 |

Structure:
a = 8.390 Å, b = 3.826 Å, c = 9.475 Å
α = 90.00°, β = 113.61°, γ = 90.00°
Fractional positions:
K: 0.235 0.250 0.265
K: 0.765 0.750 0.735
Ni: 0.088 0.250 0.612
Ni: 0.912 0.750 0.388
Ir: 0.316 0.750 0.844
Ir: 0.684 0.250 0.156
Se: 0.124 0.250 0.867
Se: 0.212 0.750 0.550
Se: 0.477 0.750 0.134
Se: 0.523 0.250 0.866
Se: 0.788 0.250 0.450
Se: 0.876 0.750 0.133

---

(3)
Diffraction record for K2IrO5. The X-ray powder pattern is computed, not measured: it uses a PBE-relaxed structure and λ = 1.5418 Å (Cu Kα).
Kinematic intensities with the Lorentz-polarization factor, no thermal factor.

Main lines, by angle (2θ = 5–70°):
| 2θ/deg | Rel. int. |
| --- | --- |
| 14.3 | 100 |
| 20.3 | 14 |
| 23.2 | 8 |
| 27.3 | 30 |
| 28.8 | 20 |
| 31.0 | 42 |
| 32.3 | 21 |
| 40.1 | 16 |
| 41.2 | 16 |
| 49.7 | 8 |
| 52.4 | 17 |
| 58.8 | 9 |

Structure:
a = 6.200 Å, b = 6.200 Å, c = 3.840 Å
α = 90.00°, β = 90.00°, γ = 90.00°
Fractional positions:
K: 0.000 0.500 0.000
K: 0.500 0.000 0.000
Ir: 0.000 0.000 0.500
O: 0.000 0.000 0.000
O: 0.213 0.213 0.500
O: 0.213 0.787 0.500
O: 0.787 0.213 0.500
O: 0.787 0.787 0.500

---

(4)
Diffraction record for K2Ir2O7. The X-ray powder pattern is computed, not measured: it uses a PBE-relaxed structure and λ = 1.5418 Å (Cu Kα).
Kinematic intensities with the Lorentz-polarization factor, no thermal factor.

Main lines, by angle (2θ = 5–70°):
| 2θ/deg | Rel. int. |
| --- | --- |
| 14.0 | 68 |
| 16.3 | 50 |
| 23.8 | 38 |
| 27.9 | 27 |
| 28.3 | 100 |
| 29.7 | 87 |
| 32.9 | 50 |
| 35.0 | 21 |
| 48.8 | 50 |
| 55.1 | 32 |
| 57.6 | 31 |
| 58.7 | 14 |

Structure:
a = 7.494 Å, b = 7.494 Å, c = 7.494 Å
α = 120.56°, β = 93.60°, γ = 115.39°
Fractional positions:
K: 0.000 0.000 0.000
K: 0.500 0.000 0.000
K: 0.500 0.000 0.500
K: 0.500 0.500 0.500
Ir: 0.000 0.000 0.500
Ir: 0.000 0.500 0.000
Ir: 0.000 0.500 0.500
Ir: 0.500 0.500 0.000
O: 0.039 0.226 0.422
O: 0.039 0.617 0.813
O: 0.080 0.830 0.250
O: 0.284 0.701 0.583
O: 0.304 0.226 0.687
O: 0.304 0.617 0.078
O: 0.382 0.299 0.083
O: 0.618 0.701 0.917
O: 0.696 0.383 0.922
O: 0.696 0.774 0.313
O: 0.716 0.299 0.417
O: 0.920 0.170 0.750
O: 0.961 0.383 0.187
O: 0.961 0.774 0.578

---

(5)
Diffraction record for K8Ir3O8. The X-ray powder pattern is computed, not measured: it uses a PBE-relaxed structure and λ = 1.5418 Å (Cu Kα).
Kinematic intensities with the Lorentz-polarization factor, no thermal factor.

Main lines, by angle (2θ = 5–70°):
| 2θ/deg | Rel. int. |
| --- | --- |
| 16.9 | 52 |
| 18.7 | 43 |
| 19.6 | 100 |
| 21.3 | 66 |
| 27.9 | 37 |
| 30.0 | 56 |
| 32.2 | 43 |
| 32.4 | 53 |
| 33.3 | 18 |
| 35.3 | 29 |
| 37.7 | 33 |
| 50.9 | 19 |

Structure:
a = 10.415 Å, b = 10.415 Å, c = 7.984 Å
α = 106.59°, β = 106.59°, γ = 30.73°
Fractional positions:
K: 0.022 0.022 0.250
K: 0.199 0.199 0.782
K: 0.337 0.337 0.548
K: 0.393 0.393 0.051
K: 0.607 0.607 0.949
K: 0.663 0.663 0.452
K: 0.801 0.801 0.218
K: 0.978 0.978 0.750
Ir: 0.187 0.187 0.202
Ir: 0.500 0.500 0.500
Ir: 0.813 0.813 0.798
O: 0.108 0.108 0.004
O: 0.173 0.173 0.422
O: 0.276 0.276 0.177
O: 0.479 0.479 0.710
O: 0.521 0.521 0.290
O: 0.724 0.724 0.823
O: 0.827 0.827 0.578
O: 0.892 0.892 0.996

---

(6)
Diffraction record for K2IrO5. The X-ray powder pattern is computed, not measured: it uses a PBE-relaxed structure and λ = 1.5418 Å (Cu Kα).
Kinematic intensities with the Lorentz-polarization factor, no thermal factor.

Main lines, by angle (2θ = 5–70°):
| 2θ/deg | Rel. int. |
| --- | --- |
| 15.7 | 65 |
| 16.4 | 100 |
| 24.4 | 18 |
| 27.8 | 62 |
| 28.0 | 32 |
| 29.0 | 57 |
| 30.1 | 54 |
| 40.8 | 27 |
| 42.1 | 13 |
| 48.0 | 14 |
| 52.0 | 14 |
| 52.4 | 16 |

Structure:
a = 7.182 Å, b = 7.182 Å, c = 7.312 Å
α = 116.42°, β = 116.42°, γ = 50.83°
Fractional positions:
K: 0.000 0.000 0.000
K: 0.000 0.000 0.500
K: 0.324 0.327 0.469
K: 0.327 0.324 0.969
Ir: 0.662 0.663 0.485
Ir: 0.663 0.662 0.985
O: 0.356 0.890 0.354
O: 0.433 0.573 0.871
O: 0.437 0.969 0.117
O: 0.524 0.801 0.735
O: 0.573 0.433 0.371
O: 0.752 0.893 0.599
O: 0.801 0.524 0.235
O: 0.890 0.356 0.854
O: 0.893 0.752 0.099
O: 0.969 0.437 0.617

---

(7)
Diffraction record for KIrO3. The X-ray powder pattern is computed, not measured: it uses a PBE-relaxed structure and λ = 1.5418 Å (Cu Kα).
Kinematic intensities with the Lorentz-polarization factor, no thermal factor.

Main lines, by angle (2θ = 5–70°):
| 2θ/deg | Rel. int. |
| --- | --- |
| 13.1 | 94 |
| 18.5 | 38 |
| 29.5 | 100 |
| 32.4 | 13 |
| 35.0 | 76 |
| 46.4 | 13 |
| 48.5 | 53 |
| 56.0 | 12 |
| 57.7 | 32 |
| 59.5 | 17 |
| 66.2 | 19 |
| 69.4 | 16 |

Structure:
a = 9.579 Å, b = 9.579 Å, c = 9.579 Å
α = 90.00°, β = 90.00°, γ = 90.00°
Fractional positions:
K: 0.000 0.000 0.000
K: 0.000 0.500 0.500
K: 0.096 0.096 0.404
K: 0.096 0.404 0.096
K: 0.404 0.096 0.096
K: 0.404 0.404 0.404
K: 0.500 0.000 0.500
K: 0.500 0.500 0.000
K: 0.596 0.596 0.596
K: 0.596 0.904 0.904
K: 0.904 0.596 0.904
K: 0.904 0.904 0.596
Ir: 0.092 0.250 0.750
Ir: 0.250 0.592 0.750
Ir: 0.250 0.750 0.092
Ir: 0.250 0.750 0.408
Ir: 0.250 0.908 0.750
Ir: 0.408 0.250 0.750
Ir: 0.592 0.750 0.250
Ir: 0.750 0.092 0.250
Ir: 0.750 0.250 0.592
Ir: 0.750 0.250 0.908
Ir: 0.750 0.408 0.250
Ir: 0.908 0.750 0.250
O: 0.046 0.746 0.097
O: 0.046 0.754 0.403
O: 0.097 0.046 0.746
O: 0.097 0.454 0.754
O: 0.113 0.750 0.750
O: 0.246 0.597 0.954
O: 0.246 0.903 0.546
O: 0.250 0.250 0.613
O: 0.250 0.250 0.887
O: 0.250 0.613 0.250
O: 0.250 0.887 0.250
O: 0.254 0.597 0.546
O: 0.254 0.903 0.954
O: 0.387 0.750 0.750
O: 0.403 0.046 0.754
O: 0.403 0.454 0.746
O: 0.454 0.746 0.403
O: 0.454 0.754 0.097
O: 0.546 0.246 0.903
O: 0.546 0.254 0.597
O: 0.597 0.546 0.254
O: 0.597 0.954 0.246
O: 0.613 0.250 0.250
O: 0.746 0.097 0.046
O: 0.746 0.403 0.454
O: 0.750 0.113 0.750
O: 0.750 0.387 0.750
O: 0.750 0.750 0.113
O: 0.750 0.750 0.387
O: 0.754 0.097 0.454
O: 0.754 0.403 0.046
O: 0.887 0.250 0.250
O: 0.903 0.546 0.246
O: 0.903 0.954 0.254
O: 0.954 0.246 0.597
O: 0.954 0.254 0.903

---

(8)
Diffraction record for K2PaIrO6. The X-ray powder pattern is computed, not measured: it uses a PBE-relaxed structure and λ = 1.5418 Å (Cu Kα).
Kinematic intensities with the Lorentz-polarization factor, no thermal factor.

Main lines, by angle (2θ = 5–70°):
| 2θ/deg | Rel. int. |
| --- | --- |
| 18.5 | 1 |
| 21.4 | 74 |
| 30.4 | 100 |
| 35.8 | 1 |
| 37.4 | 10 |
| 43.5 | 30 |
| 47.6 | 1 |
| 49.0 | 34 |
| 54.0 | 41 |
| 63.2 | 19 |
| 67.6 | 17 |

Structure:
a = 5.883 Å, b = 5.883 Å, c = 5.883 Å
α = 60.00°, β = 60.00°, γ = 60.00°
Fractional positions:
K: 0.250 0.250 0.250
K: 0.750 0.750 0.750
Pa: 0.000 0.000 0.000
Ir: 0.500 0.500 0.500
O: 0.261 0.261 0.739
O: 0.261 0.739 0.261
O: 0.261 0.739 0.739
O: 0.739 0.261 0.261
O: 0.739 0.261 0.739
O: 0.739 0.739 0.261

---

(9)
Diffraction record for KPmIrO6. The X-ray powder pattern is computed, not measured: it uses a PBE-relaxed structure and λ = 1.5418 Å (Cu Kα).
Kinematic intensities with the Lorentz-polarization factor, no thermal factor.

Main lines, by angle (2θ = 5–70°):
| 2θ/deg | Rel. int. |
| --- | --- |
| 15.5 | 100 |
| 17.8 | 46 |
| 23.7 | 98 |
| 31.1 | 57 |
| 34.9 | 62 |
| 39.5 | 21 |
| 44.7 | 62 |
| 51.1 | 23 |
| 55.4 | 18 |
| 57.9 | 18 |
| 58.1 | 19 |
| 64.9 | 22 |

Structure:
a = 5.748 Å, b = 5.748 Å, c = 5.719 Å
α = 90.00°, β = 90.00°, γ = 120.00°
Fractional positions:
K: 0.000 0.000 0.000
Pm: 0.333 0.667 0.500
Ir: 0.667 0.333 0.500
O: 0.405 0.055 0.690
O: 0.405 0.350 0.310
O: 0.650 0.055 0.310
O: 0.650 0.595 0.690
O: 0.945 0.350 0.690
O: 0.945 0.595 0.310

---

(10)
Diffraction record for KPm2IrO6. The X-ray powder pattern is computed, not measured: it uses a PBE-relaxed structure and λ = 1.5418 Å (Cu Kα).
Kinematic intensities with the Lorentz-polarization factor, no thermal factor.

Main lines, by angle (2θ = 5–70°):
| 2θ/deg | Rel. int. |
| --- | --- |
| 16.3 | 31 |
| 18.3 | 37 |
| 20.6 | 45 |
| 28.1 | 60 |
| 30.5 | 100 |
| 32.7 | 28 |
| 34.8 | 24 |
| 42.0 | 22 |
| 45.6 | 54 |
| 52.8 | 22 |
| 54.3 | 27 |
| 60.1 | 20 |

Structure:
a = 6.392 Å, b = 6.392 Å, c = 6.392 Å
α = 54.54°, β = 54.54°, γ = 54.54°
Fractional positions:
K: 0.000 0.000 0.000
Pm: 0.235 0.235 0.235
Pm: 0.759 0.759 0.759
Ir: 0.428 0.428 0.428
O: 0.055 0.566 0.426
O: 0.213 0.465 0.800
O: 0.426 0.055 0.566
O: 0.465 0.800 0.213
O: 0.566 0.426 0.055
O: 0.800 0.213 0.465

---

(11)
Diffraction record for K2IrPtO6. The X-ray powder pattern is computed, not measured: it uses a PBE-relaxed structure and λ = 1.5418 Å (Cu Kα).
Kinematic intensities with the Lorentz-polarization factor, no thermal factor.

Main lines, by angle (2θ = 5–70°):
| 2θ/deg | Rel. int. |
| --- | --- |
| 20.6 | 39 |
| 22.6 | 65 |
| 30.8 | 100 |
| 32.1 | 45 |
| 42.0 | 17 |
| 46.1 | 27 |
| 48.2 | 17 |
| 51.0 | 15 |
| 51.9 | 14 |
| 53.8 | 22 |
| 56.4 | 37 |
| 64.1 | 18 |

Structure:
a = 5.570 Å, b = 5.570 Å, c = 4.304 Å
α = 90.00°, β = 90.00°, γ = 90.00°
Fractional positions:
K: 0.000 0.500 0.000
K: 0.500 0.000 0.000
Ir: 0.000 0.000 0.467
Pt: 0.500 0.500 0.491
O: 0.000 0.000 0.036
O: 0.240 0.240 0.545
O: 0.240 0.760 0.545
O: 0.500 0.500 0.020
O: 0.760 0.240 0.545
O: 0.760 0.760 0.545

---

(12)
Diffraction record for K2IrPtO4. The X-ray powder pattern is computed, not measured: it uses a PBE-relaxed structure and λ = 1.5418 Å (Cu Kα).
Kinematic intensities with the Lorentz-polarization factor, no thermal factor.

Main lines, by angle (2θ = 5–70°):
| 2θ/deg | Rel. int. |
| --- | --- |
| 19.4 | 48 |
| 19.6 | 46 |
| 29.7 | 35 |
| 30.3 | 100 |
| 30.4 | 11 |
| 30.8 | 11 |
| 33.4 | 19 |
| 35.7 | 35 |
| 49.3 | 20 |
| 50.0 | 19 |
| 57.7 | 11 |
| 60.8 | 18 |

Structure:
a = 5.032 Å, b = 5.032 Å, c = 6.400 Å
α = 112.79°, β = 112.79°, γ = 89.12°
Fractional positions:
K: 0.000 0.000 0.000
K: 0.739 0.261 0.500
Ir: 0.499 0.501 0.000
Pt: 0.248 0.752 0.500
O: 0.212 0.611 0.751
O: 0.389 0.788 0.249
O: 0.531 0.130 0.759
O: 0.870 0.469 0.241